No. 1
For Al7C3N3, the GGA-PBE geometry in Alexandria gives the simulated X-ray powder pattern in this record (Cu Kα).

Cell and atoms:
```
Al7C3N3
1.0
3.2515 0.0000 0.0000
-1.6258 2.8159 0.0000
0.0000 0.0000 32.0768
Al C N
14 6 6
direct
0.0000 0.0000 0.0000
0.0000 0.0000 0.1294
0.0000 0.0000 0.2812
0.0000 0.0000 0.8432
0.3333 0.6667 0.0717
0.3333 0.6667 0.2019
0.3333 0.6667 0.4210
0.3333 0.6667 0.5716
0.3333 0.6667 0.7021
0.3333 0.6667 0.9213
0.6667 0.3333 0.3429
0.6667 0.3333 0.4998
0.6667 0.3333 0.6295
0.6667 0.3333 0.7815
0.0000 0.0000 0.0610
0.3333 0.6667 0.1418
0.3333 0.6667 0.3130
0.3333 0.6667 0.6419
0.3333 0.6667 0.8132
0.6667 0.3333 0.5609
0.0000 0.0000 0.2244
0.0000 0.0000 0.9009
0.3333 0.6667 0.4788
0.3333 0.6667 0.9790
0.6667 0.3333 0.4006
0.6667 0.3333 0.7246
```

Top 10 peaks for 15° ≤ 2θ ≤ 90°, by angle:
2.805 Å, 2θ = 31.90°, intensity 97
2.657 Å, 2θ = 33.74°, intensity 24
2.578 Å, 2θ = 34.79°, intensity 17
2.399 Å, 2θ = 37.49°, intensity 49
2.304 Å, 2θ = 39.09°, intensity 74
2.291 Å, 2θ = 39.32°, intensity 51
1.856 Å, 2θ = 49.09°, intensity 29
1.626 Å, 2θ = 56.61°, intensity 100
1.506 Å, 2θ = 61.59°, intensity 37
1.326 Å, 2θ = 71.10°, intensity 50



No. 2
For CeScCo2H6, the GGA-PBE geometry in Alexandria gives the simulated X-ray powder pattern in this record (Cu Kα).

Cell and atoms:
```
CeScCo2H6
1.0
2.2053 1.2733 5.3305
-2.2053 1.2733 5.3305
0.0000 -2.5465 5.3305
Ce Sc Co H
1 1 2 6
direct
0.0000 0.0000 0.0000
0.5000 0.5000 0.5000
0.2109 0.2109 0.2109
0.7891 0.7891 0.7891
0.0639 0.5648 0.5648
0.4352 0.4352 0.9361
0.4352 0.9361 0.4352
0.5648 0.0639 0.5648
0.5648 0.5648 0.0639
0.9361 0.4352 0.4352
```

Top 10 peaks for 15° ≤ 2θ ≤ 90°, by angle:
3.715 Å, 2θ = 23.95°, intensity 49
3.447 Å, 2θ = 25.85°, intensity 14
2.762 Å, 2θ = 32.42°, intensity 100
2.452 Å, 2θ = 36.65°, intensity 50
2.205 Å, 2θ = 40.92°, intensity 76
1.723 Å, 2θ = 53.15°, intensity 23
1.699 Å, 2θ = 53.97°, intensity 21
1.640 Å, 2θ = 56.09°, intensity 14
1.475 Å, 2θ = 63.02°, intensity 17
1.358 Å, 2θ = 69.18°, intensity 21